The following is a computed powder X-ray diffraction pattern of U2TeSe. It was derived from a structure optimized by DFT (GGA-PBE), using CuKα.
Kinematic intensities with the Lorentz-polarization factor, no thermal factor.

abc: 4.2906 4.2906 19.8701
angles: 90.00 90.00 120.00
Space group R-3m (No. 166, hexagonal axes)
Asymmetric unit:
U 0.0000 0.0000 0.2400 (multiplicity 6)
Te 0.0000 0.0000 0.0000 (multiplicity 3)
Se 0.0000 0.0000 0.5000 (multiplicity 3)

Top 10 peaks for 10° ≤ 2θ ≤ 90°, sorted by position:
h k l  Position (°2θ)  I_rel
0 1 2  25.60  21
1 0 4  30.03  100
1 1 0  42.12  42
0 1 8  43.84  31
0 2 4  52.59  21
2 0 8  62.42  11
2 1 4  69.56  19
1 1 12  72.05  12
3 0 0  76.99  8
1 2 8  78.19  12